Starting from a structure optimized by DFT (PBE+U), the X-ray powder pattern of Eu2CrInO6 was simulated for Cu Kα X-rays.
No peak broadening, texture or thermal motion is included.

```
data_Eu2CrInO6
_cell_length_a 5.672
_cell_length_b 5.672
_cell_length_c 5.672
_cell_angle_alpha 60.00
_cell_angle_beta 60.00
_cell_angle_gamma 60.00
_space_group_name_H-M_alt 'P 1'
_space_group_IT_number 1
loop_
_space_group_symop_operation_xyz
'x,y,z'
loop_
_atom_site_label
_atom_site_fract_x
_atom_site_fract_y
_atom_site_fract_z
Eu1 0.250 0.250 0.250
Eu2 0.750 0.750 0.750
Cr1 0.000 0.000 0.000
In1 0.500 0.500 0.500
O1 0.239 0.239 0.761
O2 0.239 0.761 0.239
O3 0.239 0.761 0.761
O4 0.761 0.239 0.239
O5 0.761 0.239 0.761
O6 0.761 0.761 0.239
```

Peak list (12 most intense, 10 to 90 degrees two-theta, low angle first)
2θ (°)	I/Imax
19.16	3
22.16	5
31.55	100
37.17	3
38.89	10
45.22	30
50.91	3
56.17	39
65.86	18
74.86	17
79.21	3
83.49	6

***

Starting from a structure optimized by DFT (PBE+U), the X-ray powder pattern of SrEuCrInO6 was simulated for Cu Kα X-rays.
No peak broadening, texture or thermal motion is included.

```
data_SrEuCrInO6
_cell_length_a 5.684
_cell_length_b 5.684
_cell_length_c 5.684
_cell_angle_alpha 60.00
_cell_angle_beta 60.00
_cell_angle_gamma 60.00
_space_group_name_H-M_alt 'P 1'
_space_group_IT_number 1
loop_
_space_group_symop_operation_xyz
'x,y,z'
loop_
_atom_site_label
_atom_site_fract_x
_atom_site_fract_y
_atom_site_fract_z
Sr1 0.000 0.000 0.000
Eu1 0.500 0.500 0.500
Cr1 0.250 0.250 0.250
In1 0.750 0.750 0.750
O1 0.012 0.012 0.488
O2 0.012 0.488 0.012
O3 0.012 0.488 0.488
O4 0.488 0.012 0.012
O5 0.488 0.012 0.488
O6 0.488 0.488 0.012
```

Peak list (12 most intense, 10 to 90 degrees two-theta, low angle first)
2θ (°)	I/Imax
19.12	11
31.48	100
37.09	8
38.81	7
45.12	32
49.42	4
56.05	38
59.78	2
65.71	19
69.14	2
74.68	17
83.28	6

***

Starting from a structure optimized by DFT (PBE+U), the X-ray powder pattern of LiEu2Cr2O8 was simulated for Cu Kα X-rays.
No peak broadening, texture or thermal motion is included.

```
data_LiEu2Cr2O8
_cell_length_a 6.129
_cell_length_b 6.247
_cell_length_c 6.268
_cell_angle_alpha 106.06
_cell_angle_beta 105.31
_cell_angle_gamma 116.87
_space_group_name_H-M_alt 'P 1'
_space_group_IT_number 1
loop_
_space_group_symop_operation_xyz
'x,y,z'
loop_
_atom_site_label
_atom_site_fract_x
_atom_site_fract_y
_atom_site_fract_z
Li1 0.000 0.000 0.000
Eu1 0.021 0.520 0.038
Eu2 0.289 0.289 0.575
Cr1 0.525 0.025 0.047
Cr2 0.763 0.763 0.522
O1 0.338 0.045 0.208
O2 0.361 0.683 0.879
O3 0.419 0.605 0.366
O4 0.522 0.200 0.879
O5 0.793 0.625 0.731
O6 0.874 0.167 0.209
O7 0.942 0.109 0.731
O8 0.951 0.765 0.366
```

Peak list (12 most intense, 10 to 90 degrees two-theta, low angle first)
2θ (°)	I/Imax
17.93	17
18.21	13
23.66	100
32.12	19
32.28	34
32.76	18
33.38	12
47.01	15
47.13	15
47.47	14
48.06	14
48.40	15